Calculated powder diffractogram of Mg6MnBi for a wavelength of 1.5418 Å, from a cell relaxed with GGA-PBE.
No peak broadening, texture or thermal motion is included.

Cell and atoms:
```
data_Mg6MnBi
_cell_length_a 5.1682
_cell_length_b 6.3497
_cell_length_c 11.0080
_cell_angle_alpha 90.00
_cell_angle_beta 90.00
_cell_angle_gamma 90.00
_symmetry_space_group_name_H-M 'A m m 2'
_symmetry_Int_Tables_number 38
loop_
_symmetry_equiv_pos_as_xyz
'x,y,z'
'-x,-y,z'
'-x,y,z'
'x,-y,z'
'x,y+1/2,z+1/2'
'-x,-y+1/2,z+1/2'
'-x,y+1/2,z+1/2'
'x,-y+1/2,z+1/2'
loop_
_atom_site_label
_atom_site_type_symbol
_atom_site_fract_x
_atom_site_fract_y
_atom_site_fract_z
Mg1 Mg 0.0000 0.0000 0.0000
Mg2 Mg 0.0000 0.0000 0.4902
Mg3 Mg 0.0000 0.2356 0.2436
Mg4 Mg 0.5000 0.2484 0.5775
Mn1 Mn 0.5000 0.0000 0.3281
Bi1 Bi 0.5000 0.0000 0.8290
```

Principal peaks in the range 2θ from 5° to 70°, sorted by position:
2θ = 16.1°, I = 74, hkl 0 0 2
2θ = 17.2°, I = 34, hkl 1 0 0
2θ = 23.6°, I = 68, hkl 1 0 2
2θ = 32.6°, I = 39, hkl 0 2 2
2θ = 33.1°, I = 28, hkl 1 2 0
2θ = 37.0°, I = 100, hkl 1 0 4